# 1
NpTlIn2Br6: theoretical X-ray diffraction stick pattern (Cu Kα X-rays), based on a crystal structure in Alexandria, relaxed with PBE.
No peak broadening, texture or thermal motion is included.

Top 10 peaks for 15° ≤ 2θ ≤ 90°, by angle:
two_theta	I/Imax	(hkl)
15.04	77	0 1 2
20.87	63	1 0 4
21.78	51	1 1 0
25.16	53	1 1 3
30.34	54	0 2 4
33.43	100	1 1 6
37.66	46	2 1 4
38.20	59	3 0 0
44.38	31	1 0 10
51.65	24	4 -2 6

```
data_NpTlIn2Br6
_chemical_formula_sum 'Np3 Tl3 In6 Br18'
_cell_length_a 8.1612
_cell_length_b 8.1612
_cell_length_c 21.3282
_cell_angle_alpha 90.00
_cell_angle_beta 90.00
_cell_angle_gamma 120.00
_symmetry_space_group_name_H-M 'R 3'
_symmetry_Int_Tables_number 146
_symmetry_space_group_name_Hall 'R 3'
loop_
_atom_site_label
_atom_site_fract_x
_atom_site_fract_y
_atom_site_fract_z
Np1 0.0000 0.0000 0.0000
Tl1 0.0000 0.0000 0.4909
In1 0.0000 0.0000 0.2001
In2 0.0000 0.0000 0.6922
Br1 0.0075 0.7289 0.0879
Br2 0.0613 0.3475 0.5944
```



# 2
TlHg2Au2: theoretical X-ray diffraction stick pattern (Cu Kα X-rays), based on a crystal structure in Alexandria, relaxed with PBE.
No peak broadening, texture or thermal motion is included.

Top 10 peaks for 15° ≤ 2θ ≤ 90°, by angle:
two_theta	I/Imax	(hkl)
28.90	13	2 2 0
32.40	79	3 1 0
36.09	22	2 0 1
37.10	10	3 2 0
37.58	100	2 1 1
43.96	9	3 3 0
52.72	13	4 1 1
62.25	14	5 1 1
65.24	23	5 2 1
70.99	17	3 1 2

```
data_TlHg2Au2
_chemical_formula_sum 'Tl2 Hg4 Au4'
_cell_length_a 8.7379
_cell_length_b 8.7379
_cell_length_c 3.0279
_cell_angle_alpha 90.00
_cell_angle_beta 90.00
_cell_angle_gamma 90.00
_symmetry_space_group_name_H-M 'P 4/m b m'
_symmetry_Int_Tables_number 127
_symmetry_space_group_name_Hall '-P 4 2ab'
loop_
_atom_site_label
_atom_site_fract_x
_atom_site_fract_y
_atom_site_fract_z
Tl1 0.0000 0.0000 0.0000
Hg1 0.1311 0.3689 0.0000
Au1 0.1676 0.6676 0.5000
```



# 3
Ba12AlAu6: theoretical X-ray diffraction stick pattern (Cu Kα X-rays), based on a crystal structure in Alexandria, relaxed with PBE.
No peak broadening, texture or thermal motion is included.

Top 10 peaks for 15° ≤ 2θ ≤ 90°, by angle:
two_theta	I/Imax	(hkl)
15.19	16	2 0 0
28.64	100	3 2 1
32.57	18	3 3 0
39.39	37	5 1 0
45.34	13	5 3 0
46.73	19	6 0 0
48.09	13	5 3 2
55.73	13	5 4 3
62.73	16	7 2 3
69.31	17	8 3 1

```
data_Ba12AlAu6
_chemical_formula_sum 'Ba24 Al2 Au12'
_cell_length_a 11.6631
_cell_length_b 11.6631
_cell_length_c 11.6631
_cell_angle_alpha 90.00
_cell_angle_beta 90.00
_cell_angle_gamma 90.00
_symmetry_space_group_name_H-M 'I m -3'
_symmetry_Int_Tables_number 204
_symmetry_space_group_name_Hall '-I 2 2 3'
loop_
_atom_site_label
_atom_site_fract_x
_atom_site_fract_y
_atom_site_fract_z
Ba1 0.0000 0.1775 0.3009
Al1 0.0000 0.0000 0.0000
Au1 0.0000 0.3737 0.5000
```



# 4
PmCu2C2O7: theoretical X-ray diffraction stick pattern (Cu Kα X-rays), based on a crystal structure in Alexandria, relaxed with PBE.
No peak broadening, texture or thermal motion is included.

Top 10 peaks for 15° ≤ 2θ ≤ 90°, by angle:
two_theta	I/Imax	(hkl)
22.01	100	0 1 2
24.75	63	1 0 4
26.62	32	0 1 5
31.12	93	1 0 7
36.84	52	1 1 0
42.05	23	0 1 11
43.33	30	2 0 2
47.75	45	1 1 9
51.39	21	0 1 14
58.15	21	1 2 2

```
data_PmCu2C2O7
_chemical_formula_sum 'Pm3 Cu6 C6 O21'
_cell_length_a 4.8795
_cell_length_b 4.8795
_cell_length_c 27.4373
_cell_angle_alpha 90.00
_cell_angle_beta 90.00
_cell_angle_gamma 120.00
_symmetry_space_group_name_H-M 'R 3 2'
_symmetry_Int_Tables_number 155
_symmetry_space_group_name_Hall 'R 3 2"'
loop_
_atom_site_label
_atom_site_fract_x
_atom_site_fract_y
_atom_site_fract_z
Pm1 0.0000 0.0000 0.0000
Cu1 0.0000 0.0000 0.4362
C1 0.0000 0.0000 0.2807
O1 0.0000 0.0000 0.5000
O2 0.0338 0.2818 0.2816
```